Nd2TlMo4O16: calculated X-ray diffraction stick pattern (Cu Kα X-rays), based on a PBE+U-relaxed structure.
No peak broadening, texture or thermal motion is included.

Crystal structure
```
data_Nd2TlMo4O16
_symmetry_space_group_name_H-M 'C 1 2/c 1'
_symmetry_Int_Tables_number 15
_cell_length_a 5.4408
_cell_length_b 12.7111
_cell_length_c 19.9121
_cell_angle_alpha 90.00
_cell_angle_beta 93.62
_cell_angle_gamma 90.00
loop_
_symmetry_equiv_pos_as_xyz
'x,y,z'
'-x,-y,-z'
'-x,y,-z+1/2'
'x,-y,z+1/2'
'x+1/2,y+1/2,z'
'-x+1/2,-y+1/2,-z'
'-x+1/2,y+1/2,-z+1/2'
'x+1/2,-y+1/2,z+1/2'
loop_
_atom_site_label
_atom_site_type_symbol
_atom_site_fract_x
_atom_site_fract_y
_atom_site_fract_z
_atom_site_occupancy
Nd1 Nd 0.0030 0.1473 0.0329 1
Tl1 Tl 0.0000 0.0260 0.2500 1
Mo1 Mo 0.0183 0.4402 0.0919 1
Mo2 Mo 0.0235 0.2597 0.6516 1
O1 O 0.0914 0.4094 0.3306 1
O2 O 0.0940 0.1350 0.8246 1
O3 O 0.1601 0.3305 0.0455 1
O4 O 0.1752 0.2405 0.5706 1
O5 O 0.2294 0.3107 0.7161 1
O6 O 0.2329 0.4528 0.6031 1
O7 O 0.2359 0.3473 0.8652 1
O8 O 0.2466 0.0180 0.5374 1
```

The 6 most intense peaks (2θ = 5–70°), low angle first:
Position (°2θ), Rel. int., h k l
24.53, 635, 1 1 -4
26.02, 598, 1 1 4
27.86, 1000, 1 1 -5
28.52, 444, 1 3 2
29.51, 775, 1 1 5
30.43, 502, 0 2 6

=====

NdTlMo2O8: calculated X-ray diffraction stick pattern (Cu Kα X-rays), based on a PBE+U-relaxed structure.
No peak broadening, texture or thermal motion is included.

Crystal structure
```
data_NdTlMo2O8
_symmetry_space_group_name_H-M 'P 4/n n c'
_symmetry_Int_Tables_number 126
_cell_length_a 6.4042
_cell_length_b 6.4042
_cell_length_c 9.7038
_cell_angle_alpha 90.00
_cell_angle_beta 90.00
_cell_angle_gamma 90.00
loop_
_symmetry_equiv_pos_as_xyz
'x,y,z'
'-x,-y,-z'
'-y+1/2,x,z'
'y+1/2,-x,-z'
'-x+1/2,-y+1/2,z'
'x+1/2,y+1/2,-z'
'y,-x+1/2,z'
'-y,x+1/2,-z'
'x,-y+1/2,-z+1/2'
'-x,y+1/2,z+1/2'
'-y+1/2,-x+1/2,-z+1/2'
'y+1/2,x+1/2,z+1/2'
'-x+1/2,y,-z+1/2'
'x+1/2,-y,z+1/2'
'y,x,-z+1/2'
'-y,-x,z+1/2'
loop_
_atom_site_label
_atom_site_type_symbol
_atom_site_fract_x
_atom_site_fract_y
_atom_site_fract_z
_atom_site_occupancy
Nd1 Nd 0.2500 0.2500 0.2500 1
Tl1 Tl 0.2500 0.2500 0.7500 1
Mo1 Mo 0.2500 0.7500 0.0000 1
O1 O 0.0542 0.6385 0.6109 1
```

The 6 most intense peaks (2θ = 5–70°), low angle first:
Position (°2θ), Rel. int., h k l
26.93, 1000, 1 1 2
27.86, 379, 2 0 0
39.81, 161, 2 2 0
46.99, 241, 2 0 4
48.72, 371, 3 1 2
55.52, 136, 2 2 4